The following is a simulated XRD peak list of MnH3C5NO6. It was derived from a DFT-relaxed cell (PBE+U, the Materials Project), using a wavelength of 1.5418 Å.
Kinematic intensities with the Lorentz-polarization factor, no thermal factor.

Largest 6 diffraction maxima, sorted by position, 2θ = 15–90°:
| two_theta | intensity |
| --- | --- |
| 15.2 | 94 |
| 20.4 | 100 |
| 22.3 | 53 |
| 25.4 | 49 |
| 30.1 | 53 |
| 33.0 | 48 |

Structural model:
a = 7.986 Å, b = 7.986 Å, c = 8.698 Å
α = 116.96°, β = 116.96°, γ = 61.50°
Atoms (fractional coordinates):
1 Mn 0.249 0.751 0.500
2 Mn 0.751 0.249 0.000
3 H 0.097 0.397 0.247
4 H 0.397 0.097 0.747
5 H 0.503 0.594 0.243
6 H 0.594 0.503 0.743
7 H 0.909 0.994 0.259
8 H 0.994 0.909 0.759
9 C 0.045 0.993 0.257
10 C 0.052 0.574 0.919
11 C 0.456 0.505 0.744
12 C 0.464 0.942 0.081
13 C 0.505 0.456 0.244
14 C 0.533 0.964 0.749
15 C 0.574 0.052 0.419
16 C 0.942 0.464 0.581
17 C 0.964 0.533 0.249
18 C 0.993 0.045 0.757
19 N 0.518 0.997 0.250
20 N 0.997 0.518 0.750
21 O 0.034 0.085 0.166
22 O 0.085 0.034 0.666
23 O 0.214 0.898 0.350
24 O 0.287 0.601 0.649
25 O 0.415 0.465 0.335
26 O 0.465 0.415 0.835
27 O 0.515 0.793 0.655
28 O 0.601 0.287 0.149
29 O 0.705 0.985 0.843
30 O 0.793 0.515 0.155
31 O 0.898 0.214 0.850
32 O 0.985 0.705 0.343

The following is a simulated XRD peak list of Mn3Sn3Te2O16. It was derived from a DFT-relaxed cell (PBE+U, the Materials Project), using a wavelength of 1.5418 Å.
Kinematic intensities with the Lorentz-polarization factor, no thermal factor.

Largest 6 diffraction maxima, sorted by position, 2θ = 15–90°:
| two_theta | intensity |
| --- | --- |
| 18.5 | 76 |
| 18.8 | 100 |
| 19.0 | 80 |
| 19.0 | 63 |
| 34.2 | 70 |
| 34.5 | 88 |

Structural model:
a = 6.334 Å, b = 6.334 Å, c = 9.322 Å
α = 91.33°, β = 91.33°, γ = 59.11°
Atoms (fractional coordinates):
1 Mn 0.000 0.000 0.000
2 Mn 0.169 0.663 0.501
3 Mn 0.663 0.169 0.501
4 Sn 0.493 0.998 0.998
5 Sn 0.663 0.663 0.496
6 Sn 0.998 0.493 0.998
7 Te 0.160 0.160 0.715
8 Te 0.493 0.493 0.222
9 O 0.009 0.009 0.603
10 O 0.009 0.467 0.604
11 O 0.171 0.171 0.107
12 O 0.192 0.647 0.105
13 O 0.307 0.307 0.851
14 O 0.314 0.882 0.848
15 O 0.359 0.359 0.357
16 O 0.360 0.786 0.348
17 O 0.467 0.009 0.604
18 O 0.495 0.495 0.594
19 O 0.647 0.192 0.105
20 O 0.650 0.650 0.104
21 O 0.786 0.360 0.348
22 O 0.828 0.828 0.905
23 O 0.835 0.835 0.416
24 O 0.882 0.314 0.848

The following is a simulated XRD peak list of ZnWF4. It was derived from a DFT-relaxed cell (PBE+U, the Materials Project), using a wavelength of 1.5418 Å.
Kinematic intensities with the Lorentz-polarization factor, no thermal factor.

Largest 6 diffraction maxima, sorted by position, 2θ = 15–90°:
| two_theta | intensity |
| --- | --- |
| 21.3 | 22 |
| 26.9 | 100 |
| 30.3 | 24 |
| 43.4 | 17 |
| 45.2 | 26 |
| 51.8 | 21 |

Structural model:
a = 5.888 Å, b = 5.904 Å, c = 6.868 Å
α = 115.25°, β = 115.29°, γ = 90.04°
Atoms (fractional coordinates):
1 Zn 0.000 0.000 0.000
2 Zn 0.499 0.500 0.002
3 W 0.248 0.756 0.503
4 W 0.749 0.255 0.503
5 F 0.050 0.209 0.763
6 F 0.201 0.714 0.762
7 F 0.293 0.802 0.243
8 F 0.444 0.299 0.244
9 F 0.554 0.058 0.760
10 F 0.701 0.560 0.758
11 F 0.801 0.955 0.248
12 F 0.946 0.453 0.249

The following is a simulated XRD peak list of Li3Mn2Si2O8. It was derived from a DFT-relaxed cell (PBE+U, the Materials Project), using a wavelength of 1.5418 Å.
Kinematic intensities with the Lorentz-polarization factor, no thermal factor.

Largest 6 diffraction maxima, sorted by position, 2θ = 15–90°:
| two_theta | intensity |
| --- | --- |
| 21.3 | 82 |
| 22.4 | 100 |
| 23.8 | 48 |
| 32.7 | 67 |
| 35.0 | 62 |
| 37.2 | 45 |

Structural model:
a = 5.126 Å, b = 6.296 Å, c = 11.132 Å
α = 90.00°, β = 90.09°, γ = 90.00°
Atoms (fractional coordinates):
1 Li 0.000 0.005 0.000
2 Li 0.000 0.255 0.766
3 Li 0.000 0.745 0.266
4 Li 0.000 0.995 0.500
5 Li 0.507 0.260 0.413
6 Li 0.507 0.740 0.913
7 Mn 0.001 0.498 0.513
8 Mn 0.001 0.502 0.013
9 Mn 0.493 0.002 0.177
10 Mn 0.493 0.998 0.677
11 Si 0.000 0.247 0.258
12 Si 0.000 0.753 0.758
13 Si 0.513 0.247 0.925
14 Si 0.513 0.753 0.425
15 O 0.323 0.221 0.259
16 O 0.323 0.779 0.759
17 O 0.393 0.469 0.975
18 O 0.393 0.531 0.475
19 O 0.400 0.208 0.787
20 O 0.400 0.792 0.287
21 O 0.409 0.039 0.007
22 O 0.409 0.961 0.507
23 O 0.832 0.246 0.925
24 O 0.832 0.754 0.425
25 O 0.890 0.032 0.183
26 O 0.890 0.968 0.683
27 O 0.897 0.244 0.399
28 O 0.897 0.756 0.899
29 O 0.931 0.470 0.191
30 O 0.931 0.530 0.691

The following is a simulated XRD peak list of Sr2MgVO4. It was derived from a DFT-relaxed cell (PBE+U, the Materials Project), using a wavelength of 1.5418 Å.
Kinematic intensities with the Lorentz-polarization factor, no thermal factor.

Largest 6 diffraction maxima, sorted by position, 2θ = 15–90°:
| two_theta | intensity |
| --- | --- |
| 26.9 | 100 |
| 29.8 | 58 |
| 31.8 | 81 |
| 44.2 | 43 |
| 45.7 | 45 |
| 55.5 | 35 |

Structural model:
a = 9.426 Å, b = 9.426 Å, c = 9.426 Å
α = 155.66°, β = 155.66°, γ = 34.69°
Atoms (fractional coordinates):
1 Sr 0.184 0.184 0.000
2 Sr 0.816 0.816 0.000
3 Mg 0.000 0.000 0.000
4 V 0.500 0.500 0.000
5 O 0.000 0.500 0.500
6 O 0.313 0.313 0.000
7 O 0.500 0.000 0.500
8 O 0.687 0.687 0.000

The following is a simulated XRD peak list of TlNiF3. It was derived from a DFT-relaxed cell (PBE+U, the Materials Project), using a wavelength of 1.5418 Å.
Kinematic intensities with the Lorentz-polarization factor, no thermal factor.

Largest 6 diffraction maxima, sorted by position, 2θ = 15–90°:
| two_theta | intensity |
| --- | --- |
| 21.4 | 24 |
| 30.5 | 100 |
| 37.6 | 24 |
| 43.7 | 32 |
| 54.2 | 41 |
| 88.3 | 22 |

Structural model:
a = 4.143 Å, b = 4.143 Å, c = 4.143 Å
α = 90.00°, β = 90.00°, γ = 90.00°
Atoms (fractional coordinates):
1 Tl 0.000 0.000 0.000
2 Ni 0.500 0.500 0.500
3 F 0.000 0.500 0.500
4 F 0.500 0.000 0.500
5 F 0.500 0.500 0.000